[1]
# Hf8GeSb2
Calculated powder diffraction line list, Cu Kα X-rays. Input: a structure optimized by DFT (PBE).
Intensities are scaled so that the largest is 100.

Crystal structure
Cell: 16.6307 3.8306 7.6613 Å, 90.00 91.12 90.00°
Space group C2/m (No. 12)
Symmetry-distinct sites (fractional):
Hf: 0.0244 0.0000 0.2444 (multiplicity 4)
Hf: 0.0878 0.5000 0.5243 (multiplicity 4)
Hf: 0.1626 0.5000 0.0490 (multiplicity 4)
Hf: 0.2050 0.0000 0.3599 (multiplicity 4)
Ge: 0.0000 0.5000 0.0000 (multiplicity 2)
Sb: 0.1732 0.0000 0.7591 (multiplicity 4)

Largest 10 diffraction maxima, by intensity, 2θ from 10° to 90°:
Position (°2θ)  intensity  index
33.45  100  1 1 -2
37.87  50  5 1 1
34.19  29  6 0 -1
47.47  27  0 2 0
35.76  26  5 1 0
41.88  15  4 0 3
32.08  14  4 0 2
59.79  12  6 2 -1
48.58  10  2 0 -4
57.75  10  7 1 -3

[2]
# Ba3Pt
Calculated powder diffraction line list, Cu Kα X-rays. Input: a structure optimized by DFT (PBE).
Intensities are scaled so that the largest is 100.

Crystal structure
Cell: 6.5413 13.9924 4.5916 Å, 90.00 90.00 90.00°
Space group Cmmm (No. 65)
Symmetry-distinct sites (fractional):
Ba: 0.0000 0.0000 0.0000 (multiplicity 2)
Ba: 0.0000 0.3500 0.5000 (multiplicity 4)
Pt: 0.0000 0.5000 0.0000 (multiplicity 2)

Largest 10 diffraction maxima, by intensity, 2θ from 10° to 90°:
Position (°2θ)  intensity  index
23.17  100  0 2 1
32.17  77  0 4 1
14.95  76  1 1 0
27.27  70  2 0 0
42.66  70  2 4 1
12.65  70  0 2 0
36.08  64  2 2 1
30.55  59  1 3 1
48.44  29  2 0 2
56.24  28  4 0 0